1.
The following is a theoretical powder X-ray diffraction pattern of AgPbSF. It was derived from DFT lattice parameters and positions (PBE), using Cu Kα, 1.54184 Å.
Neutral-atom scattering factors, no anomalous dispersion.

Cell and atoms:
a b c (Å): 8.4605 17.3118 4.7110
angles (deg): 90.00 90.00 90.00
Fractional positions:
Ag1 0.0522 0.1096 0.0000
Ag2 0.0678 0.6263 0.0000
Ag3 0.4322 0.1263 0.0000
Ag4 0.4478 0.6096 0.0000
Ag5 0.5522 0.3904 0.0000
Ag6 0.5678 0.8737 0.0000
Ag7 0.9322 0.3737 0.0000
Ag8 0.9478 0.8904 0.0000
Pb1 0.2320 0.2575 0.5000
Pb2 0.2453 0.4884 0.5000
Pb3 0.2547 0.9884 0.5000
Pb4 0.2680 0.7575 0.5000
Pb5 0.7320 0.2425 0.5000
Pb6 0.7453 0.0116 0.5000
Pb7 0.7547 0.5116 0.5000
Pb8 0.7680 0.7425 0.5000
S1 0.0033 0.8741 0.5000
S2 0.0073 0.6240 0.5000
S3 0.4927 0.1240 0.5000
S4 0.4967 0.3741 0.5000
S5 0.5033 0.6259 0.5000
S6 0.5073 0.8760 0.5000
S7 0.9927 0.3760 0.5000
S8 0.9967 0.1259 0.5000
F1 0.1747 0.2583 0.0000
F2 0.2292 0.4658 0.0000
F3 0.2708 0.9658 0.0000
F4 0.3253 0.7583 0.0000
F5 0.6747 0.2417 0.0000
F6 0.7292 0.0342 0.0000
F7 0.7708 0.5342 0.0000
F8 0.8253 0.7417 0.0000

The 12 most intense peaks (2θ = 5–70°), in order of rising 2θ:
d (Å)	intensity
4.711	15
3.187	73
3.148	59
3.025	100
2.681	14
2.546	23
2.355	34
2.164	19
1.929	14
1.859	48
1.783	25
1.594	20


2.
The following is a theoretical powder X-ray diffraction pattern of AgPbSeF. It was derived from DFT lattice parameters and positions (PBE), using Cu Kα, 1.54184 Å.
Neutral-atom scattering factors, no anomalous dispersion.

Cell and atoms:
a b c (Å): 8.8127 17.6190 4.7931
angles (deg): 90.00 90.00 90.00
Fractional positions:
Ag1 0.0551 0.0905 0.0000
Ag2 0.1030 0.6417 0.0000
Ag3 0.3970 0.1417 0.0000
Ag4 0.4449 0.5905 0.0000
Ag5 0.5551 0.4095 0.0000
Ag6 0.6030 0.8583 0.0000
Ag7 0.8970 0.3583 0.0000
Ag8 0.9449 0.9095 0.0000
Pb1 0.2259 0.2587 0.5000
Pb2 0.2413 0.4877 0.5000
Pb3 0.2587 0.9877 0.5000
Pb4 0.2741 0.7587 0.5000
Pb5 0.7259 0.2413 0.5000
Pb6 0.7413 0.0123 0.5000
Pb7 0.7587 0.5123 0.5000
Pb8 0.7741 0.7413 0.5000
Se1 0.0013 0.8722 0.5000
Se2 0.0129 0.6231 0.5000
Se3 0.4871 0.1231 0.5000
Se4 0.4987 0.3722 0.5000
Se5 0.5013 0.6278 0.5000
Se6 0.5129 0.8769 0.5000
Se7 0.9871 0.3769 0.5000
Se8 0.9987 0.1278 0.5000
F1 0.2085 0.2548 0.0000
F2 0.2455 0.4768 0.0000
F3 0.2545 0.9768 0.0000
F4 0.2915 0.7548 0.0000
F5 0.7085 0.2452 0.0000
F6 0.7455 0.0232 0.0000
F7 0.7545 0.5232 0.0000
F8 0.7915 0.7452 0.0000

The 12 most intense peaks (2θ = 5–70°), in order of rising 2θ:
d (Å)	intensity
4.793	29
3.799	15
3.243	60
3.115	100
2.786	22
2.612	51
2.397	39
2.203	26
2.002	34
1.899	49
1.622	20
1.481	14


3.
The following is a theoretical powder X-ray diffraction pattern of Ag2PdF6. It was derived from DFT lattice parameters and positions (PBE), using Cu Kα, 1.54184 Å.
Neutral-atom scattering factors, no anomalous dispersion.

Cell and atoms:
a b c (Å): 4.9745 4.9745 10.3405
angles (deg): 90.00 90.00 90.00
Fractional positions:
Ag1 0.0000 0.0000 0.1660
Ag2 0.0000 0.0000 0.8340
Ag3 0.5000 0.5000 0.3340
Ag4 0.5000 0.5000 0.6660
Pd1 0.0000 0.0000 0.5000
Pd2 0.5000 0.5000 0.0000
F1 0.1868 0.1868 0.3552
F2 0.1868 0.1868 0.6448
F3 0.2197 0.2197 0.0000
F4 0.2803 0.7197 0.5000
F5 0.3132 0.6868 0.1448
F6 0.3132 0.6868 0.8552
F7 0.6868 0.3132 0.1448
F8 0.6868 0.3132 0.8552
F9 0.7197 0.2803 0.5000
F10 0.7803 0.7803 0.0000
F11 0.8132 0.8132 0.3552
F12 0.8132 0.8132 0.6448

The 12 most intense peaks (2θ = 5–70°), in order of rising 2θ:
d (Å)	intensity
3.518	100
2.833	83
2.487	19
2.462	6
2.225	2
1.869	69
1.759	17
1.723	9
1.573	14
1.548	17
1.494	21
1.417	8


4.
The following is a theoretical powder X-ray diffraction pattern of AgPdPt2F11. It was derived from DFT lattice parameters and positions (PBE), using Cu Kα, 1.54184 Å.
Neutral-atom scattering factors, no anomalous dispersion.

Cell and atoms:
a b c (Å): 5.4566 5.4566 7.6110
angles (deg): 108.77 108.77 76.53
Fractional positions:
Ag1 0.0000 0.0000 0.0000
Pd1 0.0000 0.0000 0.5000
Pt1 0.4745 0.4745 0.7590
Pt2 0.5255 0.5255 0.2410
F1 0.1316 0.7365 0.6574
F2 0.2285 0.2285 0.7198
F3 0.2635 0.8684 0.3426
F4 0.2775 0.2775 0.1493
F5 0.3270 0.6730 0.0000
F6 0.5000 0.5000 0.5000
F7 0.6730 0.3270 0.0000
F8 0.7225 0.7225 0.8507
F9 0.7365 0.1316 0.6574
F10 0.7715 0.7715 0.2802
F11 0.8684 0.2635 0.3426

The 12 most intense peaks (2θ = 5–70°), in order of rising 2θ:
d (Å)	intensity
5.112	24
3.908	87
3.379	61
3.314	100
2.570	39
2.556	32
2.488	27
1.938	32
1.750	16
1.708	18
1.691	25
1.658	19


5.
The following is a theoretical powder X-ray diffraction pattern of AgSn2PdF11. It was derived from DFT lattice parameters and positions (PBE), using Cu Kα, 1.54184 Å.
Neutral-atom scattering factors, no anomalous dispersion.

Cell and atoms:
a b c (Å): 5.7298 5.7298 7.6974
angles (deg): 110.70 110.70 72.71
Fractional positions:
Ag1 0.0000 0.0000 0.0000
Sn1 0.4943 0.4943 0.7642
Sn2 0.5057 0.5057 0.2358
Pd1 0.0000 0.0000 0.5000
F1 0.1806 0.7704 0.6898
F2 0.2296 0.8194 0.3102
F3 0.2600 0.2600 0.6649
F4 0.2723 0.2723 0.1069
F5 0.3316 0.6684 0.0000
F6 0.5000 0.5000 0.5000
F7 0.6684 0.3316 0.0000
F8 0.7277 0.7277 0.8931
F9 0.7400 0.7400 0.3351
F10 0.7704 0.1806 0.6898
F11 0.8194 0.2296 0.3102

The 12 most intense peaks (2θ = 5–70°), in order of rising 2θ:
d (Å)	intensity
4.146	100
3.397	50
3.348	96
2.630	47
2.578	24
2.073	24
1.951	33
1.924	15
1.774	15
1.770	16
1.757	14
1.746	15


6.
The following is a theoretical powder X-ray diffraction pattern of Rb3AgF6. It was derived from DFT lattice parameters and positions (PBE), using Cu Kα, 1.54184 Å.
Neutral-atom scattering factors, no anomalous dispersion.

Cell and atoms:
a b c (Å): 6.2918 6.5669 10.8955
angles (deg): 90.00 125.18 90.00
Fractional positions:
Rb1 0.0000 0.0000 0.0000
Rb2 0.0000 0.5000 0.5000
Rb3 0.2654 0.0526 0.7496
Rb4 0.2654 0.4474 0.2496
Rb5 0.7346 0.5526 0.7504
Rb6 0.7346 0.9474 0.2504
Ag1 0.5000 0.0000 0.5000
Ag2 0.5000 0.5000 0.0000
F1 0.1828 0.0412 0.2808
F2 0.1828 0.4588 0.7808
F3 0.2720 0.6780 0.0418
F4 0.2720 0.8220 0.5418
F5 0.3872 0.2317 0.0607
F6 0.3872 0.2683 0.5607
F7 0.6128 0.7317 0.4393
F8 0.6128 0.7683 0.9393
F9 0.7280 0.1781 0.4582
F10 0.7280 0.3220 0.9582
F11 0.8172 0.5412 0.2192
F12 0.8172 0.9588 0.7192

The 12 most intense peaks (2θ = 5–70°), in order of rising 2θ:
d (Å)	intensity
3.283	24
3.180	100
3.146	23
2.272	27
2.226	15
2.014	7
1.875	16
1.843	11
1.823	25
1.818	12
1.590	14
1.411	9


7.
The following is a theoretical powder X-ray diffraction pattern of RbAg7F12. It was derived from DFT lattice parameters and positions (PBE), using Cu Kα, 1.54184 Å.
Neutral-atom scattering factors, no anomalous dispersion.

Cell and atoms:
a b c (Å): 7.2628 7.2628 7.2628
angles (deg): 109.47 109.47 109.47
Fractional positions:
Rb1 0.0000 0.0000 0.0000
Ag1 0.0000 0.0000 0.5000
Ag2 0.0000 0.5000 0.0000
Ag3 0.0000 0.5000 0.5000
Ag4 0.5000 0.0000 0.0000
Ag5 0.5000 0.0000 0.5000
Ag6 0.5000 0.5000 0.0000
Ag7 0.5000 0.5000 0.5000
F1 0.1223 0.8179 0.3043
F2 0.1821 0.3043 0.4864
F3 0.1821 0.6957 0.8777
F4 0.3043 0.1223 0.8179
F5 0.3043 0.4864 0.1821
F6 0.4864 0.1821 0.3043
F7 0.5136 0.8179 0.6957
F8 0.6957 0.5136 0.8179
F9 0.6957 0.8777 0.1821
F10 0.8179 0.3043 0.1223
F11 0.8179 0.6957 0.5136
F12 0.8777 0.1821 0.6957

The 12 most intense peaks (2θ = 5–70°), in order of rising 2θ:
d (Å)	intensity
5.930	1
4.193	1
3.424	1
2.965	100
2.652	2
2.421	1
2.241	1
2.097	26
1.875	1
1.712	48
1.483	14
1.438	1


8.
The following is a theoretical powder X-ray diffraction pattern of RbAgF2. It was derived from DFT lattice parameters and positions (PBE), using Cu Kα, 1.54184 Å.
Neutral-atom scattering factors, no anomalous dispersion.

Cell and atoms:
a b c (Å): 4.2081 4.2081 8.6081
angles (deg): 90.00 90.00 90.00
Fractional positions:
Rb1 0.2500 0.2500 0.1819
Rb2 0.7500 0.7500 0.8181
Ag1 0.2500 0.2500 0.6208
Ag2 0.7500 0.7500 0.3792
F1 0.2500 0.2500 0.8789
F2 0.2500 0.7500 0.5000
F3 0.7500 0.2500 0.5000
F4 0.7500 0.7500 0.1211

The 12 most intense peaks (2θ = 5–70°), in order of rising 2θ:
d (Å)	intensity
8.608	31
3.009	100
2.976	78
2.448	11
2.371	32
2.104	40
1.744	20
1.724	42
1.574	17
1.504	7
1.490	13
1.488	12